Diffraction record for LiTl2MoF6. The powder X-ray diffraction pattern is simulated, not measured: it uses a crystal structure in Alexandria, relaxed with PBE+U and λ = 1.5418 Å (Cu Kα).
No peak broadening, texture or thermal motion is included.

Largest 12 diffraction maxima, low angle first, 10° ≤ 2θ ≤ 90°:
2θ/deg, intensity, (hkl)
18.0, 9.8, 1 0 1
20.8, 34.5, 1 1 0
29.6, 100.0, 2 0 0
36.5, 31.0, 2 0 2
42.3, 33.9, 2 2 0
47.6, 17.8, 3 1 0
52.5, 42.0, 3 1 2
61.4, 17.9, 4 0 0
69.6, 9.3, 3 3 2
69.7, 9.2, 4 2 0
84.9, 7.5, 2 4 4
85.1, 15.0, 5 1 2

Structural model:
Lattice parameters (Å, degrees): 6.0322 6.0461 8.5335 90.00 90.00 90.00
Space group Immm (No. 71)
Inequivalent atoms, fractional coordinates:
Li: 0.0000 0.0000 0.0000 (multiplicity 2)
Tl: 0.0000 0.5000 0.2505 (multiplicity 4)
Mo: 0.0000 0.0000 0.5000 (multiplicity 2)
F: 0.0000 0.0000 0.2525 (multiplicity 4)
F: 0.2470 0.2482 0.5000 (multiplicity 8)